Diffraction record for TiVCr2O6. The powder diffractogram is computed, not measured: it uses a cell relaxed with PBE+U and Cu Kα X-rays.

Crystal structure
```
data_TiVCr2O6
_space_group_name_H-M_alt 'P 1'
_space_group_IT_number 1
_cell_length_a 5.0857
_cell_length_b 5.1839
_cell_length_c 5.4557
_cell_angle_alpha 116.78
_cell_angle_beta 90.48
_cell_angle_gamma 117.94
loop_
_space_group_symop_operation_xyz
'x,y,z'
loop_
_atom_site_label
_atom_site_type_symbol
_atom_site_fract_x
_atom_site_fract_y
_atom_site_fract_z
Ti1 Ti 0.0000 0.0000 0.0000
V1 V 0.5269 0.0361 0.5307
Cr1 Cr 0.2187 0.4358 0.6112
Cr2 Cr 0.7398 0.4627 0.1514
O1 O 0.1666 0.9871 0.3281
O2 O 0.2667 0.9004 0.8023
O3 O 0.4312 0.5715 0.3444
O4 O 0.6356 0.5619 0.8317
O5 O 0.8256 0.2257 0.3237
O6 O 0.9311 0.2320 0.8319
```

Main lines, in order of falling intensity (15 to 90 degrees two-theta):
d [Å]  2θ/deg  Rel. int.  index
2.806  31.9  100  1 0 1
2.771  32.3  85  -1 1 1
2.644  33.9  80  1 1 -1
2.716  33.0  66  0 1 -2
2.587  34.7  61  1 -2 1
2.542  35.3  55  2 -1 0
1.524  60.8  43  0 3 -2
3.731  23.8  40  1 0 -1